For Ce2MnGeN5, a structure optimized by DFT (PBE) gives the theoretical powder diffraction line list in this record (copper Kα).
Intensities are scaled so that the largest is 100.

Cell and atoms:
```
data_Ce2MnGeN5
_chemical_formula_sum 'Ce4 Mn2 Ge2 N10'
_cell_length_a 7.0063
_cell_length_b 7.0063
_cell_length_c 9.8480
_cell_angle_alpha 90.00
_cell_angle_beta 90.00
_cell_angle_gamma 153.22
_space_group_name_H-M_alt 'P 1'
_space_group_IT_number 1
loop_
_space_group_symop_operation_xyz
'x,y,z'
loop_
_atom_site_label
_atom_site_type_symbol
_atom_site_fract_x
_atom_site_fract_y
_atom_site_fract_z
_atom_site_occupancy
Ce1 Ce 0.1159 0.8841 0.5000 1
Ce2 Ce 0.1407 0.8593 0.1191 1
Ce3 Ce 0.8593 0.1407 0.6191 1
Ce4 Ce 0.8841 0.1159 0.0000 1
Mn1 Mn 0.2182 0.7818 0.8386 1
Mn2 Mn 0.7818 0.2182 0.3386 1
Ge1 Ge 0.4443 0.5557 0.2720 1
Ge2 Ge 0.5557 0.4443 0.7720 1
N1 N 0.0578 0.9422 0.8702 1
N2 N 0.2836 0.7164 0.4695 1
N3 N 0.3093 0.6907 0.2043 1
N4 N 0.3568 0.6432 0.8236 1
N5 N 0.4966 0.5034 0.6030 1
N6 N 0.5034 0.4966 0.1030 1
N7 N 0.6432 0.3568 0.3236 1
N8 N 0.6907 0.3093 0.7043 1
N9 N 0.7164 0.2836 0.9695 1
N10 N 0.9422 0.0578 0.3702 1
```

Top 10 peaks for 2θ = 15–90°, by angle:
two_theta	intensity
26.1	34.5
30.2	100.0
31.9	49.0
33.7	67.4
33.9	54.9
35.2	36.7
39.6	69.4
40.8	30.9
51.9	29.6
55.0	26.1